Diffraction record for C. The X-ray diffraction stick pattern is calculated, not measured: it uses the PBE geometry in the Materials Project and λ = 1.5418 Å (Cu Kα).

Main lines, low angle first (2θ = 10–80°):
2θ 11.29, I 59.5
2θ 13.69, I 21.9
2θ 18.02, I 100.0
2θ 19.40, I 26.7
2θ 20.06, I 67.6
2θ 22.52, I 15.9
2θ 22.68, I 9.4
2θ 28.05, I 15.2
2θ 30.02, I 16.6
2θ 31.04, I 10.7

```
C
1.0
-4.5644 4.5855 7.5854
4.5644 -4.5855 7.5854
4.5644 4.5855 -7.5854
C
60
Cartesian
4.5644 -3.7868 6.7867
1.1781 1.5188 -1.4430
3.3862 -3.0666 6.1424
3.8415 -2.3077 5.0264
5.2872 -2.3077 5.0264
0.0000 0.7987 0.7987
2.2852 1.9776 -0.7370
6.8435 1.9776 -0.7370
3.1419 -1.1661 4.6065
5.9868 -1.1661 4.6065
1.1781 1.5188 1.4430
3.3862 -3.0666 9.0284
3.0361 3.1230 -1.1733
1.5283 -1.4625 6.4121
2.2852 1.9776 0.7370
6.8435 1.9776 0.7370
2.5949 3.8477 -2.2703
1.9695 -0.7377 5.3151
3.8686 0.0000 4.1667
5.2601 0.0000 4.1667
3.7613 3.7752 0.0000
5.3675 3.7752 0.0000
-0.7229 2.2778 2.5590
0.7229 2.2778 2.5590
3.0361 3.1230 1.1733
1.5283 -1.4625 8.7587
2.5949 5.3232 -2.2703
1.9695 0.7377 5.3151
3.1419 1.1661 4.6065
5.9868 1.1661 4.6065
-1.4224 3.4194 2.9789
1.4224 3.4194 2.9789
2.5949 3.8477 2.2703
1.9695 -0.7377 9.8557
3.0361 6.0479 -1.1733
1.5283 1.4625 6.4121
3.8415 2.3077 5.0264
5.2872 2.3077 5.0264
-0.8031 0.8103 7.5854
0.8031 0.8103 7.5854
-0.6958 4.5855 3.4187
0.6958 4.5855 3.4187
2.5949 5.3232 2.2703
1.9695 0.7377 9.8557
-2.2792 2.6079 6.8484
2.2792 2.6079 6.8484
3.0361 6.0479 1.1733
1.5283 1.4625 8.7587
1.1781 7.6521 -1.4430
3.3862 3.0666 6.1424
-1.4224 5.7516 2.9789
1.4224 5.7516 2.9789
-2.2792 2.6079 8.3224
2.2792 2.6079 8.3224
4.5644 3.7868 6.7867
-0.7229 6.8932 2.5590
0.7229 6.8932 2.5590
1.1781 7.6521 1.4430
3.3862 3.0666 9.0284
0.0000 8.3723 0.7987
```